(1)
Starting from a structure optimized by DFT (PBE), the powder diffractogram of Sr4MgCu2 was computed for Cu Kα, 1.54184 Å.
Neutral-atom scattering factors, no anomalous dispersion.

Structure:
abc: 5.7318 9.9426 16.5311
angles: 90.00 90.00 90.00
Space group Cmcm (No. 63)
One atom of each set of equivalent atoms:
Sr  0.0000  0.0000  0.0000
Sr  0.0000  0.3327  0.1226
Sr  0.0000  0.3343  0.7500
Mg  0.0000  0.0011  0.7500
Cu  0.0000  0.3333  0.5630

Most intense lines, 2θ from 10° to 90°, low angle first:
two_theta	d/Å	intensity	index
28.1	3.177	25	0 2 4
31.2	2.868	100	2 0 0
32.5	2.752	57	1 1 5
45.7	1.986	26	0 4 5
55.5	1.656	19	3 3 0
56.4	1.633	22	2 4 5

***

(2)
Starting from a structure optimized by DFT (PBE), the powder diffractogram of LiHoGeO4 was computed for Cu Kα, 1.54184 Å.
Neutral-atom scattering factors, no anomalous dispersion.

Structure:
abc: 6.0148 6.7639 8.2985
angles: 90.00 90.00 90.00
Space group Imma (No. 74)
One atom of each set of equivalent atoms:
Li  0.2500  0.2500  0.2500
Ho  0.0000  0.0000  0.0000
Ge  0.0000  0.2500  0.6171
O  0.0000  0.0288  0.7326
O  0.2485  0.2500  0.4902

Most intense lines, 2θ from 10° to 90°, low angle first:
two_theta	d/Å	intensity	index
18.2	4.870	45	1 0 1
21.4	4.149	41	0 0 2
29.7	3.007	36	2 0 0
32.2	2.778	100	1 2 1
35.7	2.513	39	1 0 3
54.3	1.689	33	0 4 0

***

(3)
Starting from a structure optimized by DFT (PBE), the powder diffractogram of Ce3Be2Si3 was computed for Cu Kα, 1.54184 Å.
Neutral-atom scattering factors, no anomalous dispersion.

Structure:
abc: 3.8859 10.7881 14.8506
angles: 90.00 90.00 90.00
Space group Cmcm (No. 63)
One atom of each set of equivalent atoms:
Ce  0.0000  0.0359  0.2500
Ce  0.0000  0.3491  0.0942
Be  0.0000  0.3650  0.6195
Si  0.0000  0.0756  0.0573
Si  0.0000  0.2464  0.7500

Most intense lines, 2θ from 10° to 90°, low angle first:
two_theta	d/Å	intensity	index
24.4	3.647	82	0 2 3
27.2	3.280	45	1 1 2
30.4	2.941	75	1 1 3
34.0	2.639	77	1 3 0
34.5	2.603	100	1 1 4
36.3	2.475	44	0 0 6

***

Copy entry 1 word for word.
Starting from a structure optimized by DFT (PBE), the powder diffractogram of Sr4MgCu2 was computed for Cu Kα, 1.54184 Å.
Neutral-atom scattering factors, no anomalous dispersion.

Structure:
abc: 5.7318 9.9426 16.5311
angles: 90.00 90.00 90.00
Space group Cmcm (No. 63)
One atom of each set of equivalent atoms:
Sr  0.0000  0.0000  0.0000
Sr  0.0000  0.3327  0.1226
Sr  0.0000  0.3343  0.7500
Mg  0.0000  0.0011  0.7500
Cu  0.0000  0.3333  0.5630

Most intense lines, 2θ from 10° to 90°, low angle first:
two_theta	d/Å	intensity	index
28.1	3.177	25	0 2 4
31.2	2.868	100	2 0 0
32.5	2.752	57	1 1 5
45.7	1.986	26	0 4 5
55.5	1.656	19	3 3 0
56.4	1.633	22	2 4 5